(1)
SmYTiN3: computed PXRD pattern (copper Kα), based on the GGA-PBE geometry in Alexandria.
Kinematic intensities with the Lorentz-polarization factor, no thermal factor.

Crystal structure
a = 7.1724 Å, b = 3.5554 Å, c = 7.8061 Å
α = 90.00°, β = 98.20°, γ = 90.00°
Space group P2_1/m (No. 11)
Asymmetric unit:
Sm 0.1668 0.2500 0.1613
Y 0.3682 0.7500 0.8412
Ti 0.0991 0.2500 0.5999
N 0.1067 0.2500 0.8503
N 0.1723 0.7500 0.5268
N 0.3991 0.7500 0.1378

Top 8 peaks for 10 to 90 degrees two-theta, low angle first:
h k l, Position (°2θ), intensity
0 0 1, 11.45, 82
0 1 1, 27.62, 60
2 0 1, 29.15, 35
2 0 -2, 31.71, 56
0 1 2, 34.28, 77
0 0 3, 34.84, 47
2 1 0, 35.75, 100
2 1 -1, 36.48, 46

***

(2)
TaNb2H4: computed PXRD pattern (copper Kα), based on the GGA-PBE geometry in Alexandria.
Kinematic intensities with the Lorentz-polarization factor, no thermal factor.

Crystal structure
a = 5.1693 Å, b = 8.9346 Å, c = 2.9495 Å
α = 90.00°, β = 90.00°, γ = 90.00°
Space group Cmmm (No. 65)
Asymmetric unit:
Ta 0.0000 0.0000 0.0000
Nb 0.0000 0.3399 0.5000
H 0.0000 0.2104 0.0000
H 0.2475 0.0000 0.5000

Top 8 peaks for 10 to 90 degrees two-theta, low angle first:
h k l, Position (°2θ), intensity
0 2 0, 19.86, 20
2 0 0, 34.74, 100
1 1 1, 36.49, 96
0 4 1, 51.27, 37
3 3 0, 62.25, 12
2 4 1, 63.42, 39
2 0 2, 74.03, 22
4 2 1, 84.75, 10

***

(3)
Li4Tb3PuSe8: computed PXRD pattern (copper Kα), based on the GGA-PBE geometry in Alexandria.
Kinematic intensities with the Lorentz-polarization factor, no thermal factor.

Crystal structure
a = 8.2031 Å, b = 8.2031 Å, c = 19.4748 Å
α = 90.00°, β = 90.00°, γ = 120.00°
Space group R-3m (No. 166, hexagonal axes)
Asymmetric unit:
Li 0.0000 0.0000 0.0000
Li 0.0000 0.5000 0.0000
Tb 0.0000 0.5000 0.5000
Pu 0.0000 0.0000 0.5000
Se 0.0000 0.0000 0.2515
Se 0.0024 0.5012 0.7485

Top 8 peaks for 10 to 90 degrees two-theta, low angle first:
h k l, Position (°2θ), intensity
0 0 3, 13.64, 55
0 2 1, 25.49, 42
0 2 4, 31.17, 100
2 0 5, 34.16, 22
2 2 0, 44.16, 38
2 0 8, 45.15, 36
4 0 4, 55.04, 20
2 4 4, 73.12, 17

***

(4)
Zn13Ga3: computed PXRD pattern (copper Kα), based on the GGA-PBE geometry in Alexandria.
Kinematic intensities with the Lorentz-polarization factor, no thermal factor.

Crystal structure
a = 7.9750 Å, b = 7.7705 Å, c = 8.1183 Å
α = 90.00°, β = 90.00°, γ = 90.00°
Space group Amm2 (No. 38)
Asymmetric unit:
Zn 0.0000 0.0000 0.0000
Zn 0.0000 0.0000 0.5088
Zn 0.0000 0.2459 0.7546
Zn 0.2464 0.2502 0.0039
Zn 0.2480 0.0000 0.7499
Zn 0.5000 0.0000 0.5064
Zn 0.5000 0.2486 0.7496
Ga 0.2461 0.0000 0.2576
Ga 0.5000 0.0000 0.9946

Top 8 peaks for 10 to 90 degrees two-theta, low angle first:
h k l, Position (°2θ), intensity
2 2 2, 39.25, 100
0 0 4, 44.65, 17
4 0 0, 45.49, 16
0 4 0, 46.76, 15
4 0 4, 65.64, 10
2 2 6, 78.62, 12
6 2 2, 79.84, 11
2 6 2, 81.70, 11

***

(5)
BiSeCl2: computed PXRD pattern (copper Kα), based on the GGA-PBE geometry in Alexandria.
Kinematic intensities with the Lorentz-polarization factor, no thermal factor.

Crystal structure
a = 3.8302 Å, b = 6.0586 Å, c = 6.0663 Å
α = 72.96°, β = 78.25°, γ = 79.07°
Space group P1 (No. 1)
Asymmetric unit:
Bi 0.0000 0.0000 0.0000
Se 0.5081 0.2918 0.7091
Cl 0.3710 0.0611 0.3388
Cl 0.6331 0.6620 0.9365

Top 8 peaks for 10 to 90 degrees two-theta, low angle first:
h k l, Position (°2θ), intensity
0 0 1, 15.46, 100
0 1 1, 18.77, 37
1 1 0, 26.70, 17
1 -1 0, 30.44, 17
1 0 -1, 30.69, 17
0 1 2, 30.97, 16
1 2 1, 34.91, 29
0 3 0, 47.60, 19

***

(6)
PrSm2DyEr: computed PXRD pattern (copper Kα), based on the GGA-PBE geometry in Alexandria.
Kinematic intensities with the Lorentz-polarization factor, no thermal factor.

Crystal structure
a = 8.4355 Å, b = 6.5538 Å, c = 6.2371 Å
α = 90.00°, β = 94.85°, γ = 90.00°
Space group P2/c (No. 13)
Asymmetric unit:
Pr 0.0000 0.0000 0.0000
Sm 0.3108 0.3106 0.2235
Dy 0.0000 0.4350 0.7500
Er 0.5000 0.1637 0.7500

Top 8 peaks for 10 to 90 degrees two-theta, low angle first:
h k l, Position (°2θ), intensity
2 1 -1, 28.12, 86
0 0 2, 28.73, 64
1 2 0, 29.25, 94
2 1 1, 29.94, 100
3 0 0, 31.91, 80
1 2 -1, 32.27, 60
1 1 2, 34.44, 50
3 1 -2, 43.89, 59

***

(7)
Nd5Te4Br: computed PXRD pattern (copper Kα), based on the GGA-PBE geometry in Alexandria.
Kinematic intensities with the Lorentz-polarization factor, no thermal factor.

Crystal structure
a = 4.3906 Å, b = 4.3906 Å, c = 33.2220 Å
α = 90.00°, β = 90.00°, γ = 90.00°
Space group I4/mmm (No. 139)
Asymmetric unit:
Nd 0.0000 0.0000 0.0000
Nd 0.0000 0.0000 0.1887
Nd 0.0000 0.0000 0.3864
Te 0.0000 0.0000 0.0931
Te 0.0000 0.0000 0.2908
Br 0.0000 0.0000 0.5000

Top 8 peaks for 10 to 90 degrees two-theta, low angle first:
h k l, Position (°2θ), intensity
0 0 10, 26.84, 40
1 1 0, 28.76, 100
1 0 11, 36.10, 27
1 1 10, 39.74, 56
2 0 0, 41.12, 38
2 0 10, 49.78, 29
3 1 0, 67.46, 17
3 1 10, 74.00, 18

***

(8)
PrAlCd2: computed PXRD pattern (copper Kα), based on the GGA-PBE geometry in Alexandria.
Kinematic intensities with the Lorentz-polarization factor, no thermal factor.

Crystal structure
a = 7.2568 Å, b = 7.2568 Å, c = 7.2568 Å
α = 90.00°, β = 90.00°, γ = 90.00°
Space group Fm-3m (No. 225)
Asymmetric unit:
Pr 0.0000 0.0000 0.0000
Al 0.0000 0.0000 0.5000
Cd 0.2500 0.2500 0.2500

Top 8 peaks for 10 to 90 degrees two-theta, low angle first:
h k l, Position (°2θ), intensity
1 1 1, 21.21, 19
2 2 0, 34.97, 100
3 1 1, 41.26, 11
4 0 0, 50.29, 17
3 3 1, 55.17, 5
4 2 2, 62.72, 35
4 4 0, 73.88, 11
6 2 0, 84.42, 15